RbPmMo2O8: theoretical powder diffraction line list (Cu Kα X-rays), based on a crystal structure in Alexandria, relaxed with GGA+U.
No peak broadening, texture or thermal motion is included.

Most intense lines, 5 to 70 degrees two-theta, sorted by position:
| h k l | d/Å | 2θ/deg | intensity |
| --- | --- | --- | --- |
| 1 0 0 | 5.314 | 16.68 | 25 |
| 0 1 1 | 4.430 | 20.04 | 100 |
| 0 1 2 | 3.201 | 27.87 | 82 |
| 1 1 0 | 3.068 | 29.10 | 73 |
| 0 2 2 | 2.215 | 40.73 | 40 |
| 1 2 1 | 1.948 | 46.61 | 19 |
| 2 1 2 | 1.796 | 50.84 | 30 |
| 3 0 0 | 1.771 | 51.60 | 14 |
| 1 1 4 | 1.679 | 54.68 | 27 |
| 2 2 0 | 1.534 | 60.32 | 17 |

Structural model:
Cell: 6.1363 6.1363 8.0209 Å, 90.00 90.00 120.00°
Fractional coordinates of all 12 atoms:
Rb (0.0000, 0.0000, 0.0000)
Pm (0.0000, 0.0000, 0.5000)
Mo (0.3333, 0.6667, 0.7544)
Mo (0.6667, 0.3333, 0.2456)
O (0.1719, 0.3437, 0.6817)
O (0.1719, 0.8281, 0.6817)
O (0.3333, 0.6667, 0.9727)
O (0.3437, 0.1719, 0.3183)
O (0.6563, 0.8281, 0.6817)
O (0.6667, 0.3333, 0.0273)
O (0.8281, 0.1719, 0.3183)
O (0.8281, 0.6563, 0.3183)